Calculated X-ray powder pattern
Compound: SrGeP2
Radiation: a wavelength of 1.5418 Å
Structure: DFT lattice parameters and positions (GGA-PBE)
Intensities are scaled so that the largest is 100.

Main lines, in order of rising 2θ (10° ≤ 2θ ≤ 90°):
23.87 deg, I = 89, hkl 2 2 0
25.54 deg, I = 89, hkl 0 0 4
26.47 deg, I = 27, hkl 3 1 -1
26.62 deg, I = 36, hkl 1 3 0
26.82 deg, I = 29, hkl 3 1 0
32.67 deg, I = 100, hkl 2 2 3
32.80 deg, I = 91, hkl 2 2 -4
33.88 deg, I = 54, hkl 3 1 -4
36.08 deg, I = 32, hkl 1 3 -4
47.27 deg, I = 29, hkl 4 0 -6
48.39 deg, I = 64, hkl 4 4 -1
57.89 deg, I = 28, hkl 0 4 7

Cell and atoms:
a b c (Å): 10.679 10.601 14.192
angles (deg): 90.00 100.54 90.00
Space group C2/c (No. 15)
Asymmetric unit:
Sr (0.017, 0.171, 0.392) [8 per cell]
Sr (0.204, 0.454, 0.120) [8 per cell]
Ge (0.103, 0.188, 0.658) [8 per cell]
Ge (0.143, 0.437, 0.840) [8 per cell]
P (0.000, 0.056, 0.750) [4 per cell]
P (0.000, 0.416, 0.250) [4 per cell]
P (0.022, 0.337, 0.942) [8 per cell]
P (0.187, 0.041, 0.560) [8 per cell]
P (0.238, 0.194, 0.246) [8 per cell]

Calculated X-ray powder pattern
Compound: Sr3GeP3
Radiation: a wavelength of 1.5418 Å
Structure: DFT lattice parameters and positions (GGA-PBE)
Intensities are scaled so that the largest is 100.

Main lines, in order of rising 2θ (10° ≤ 2θ ≤ 90°):
24.32 deg, I = 90, hkl 3 1 2
25.88 deg, I = 53, hkl 1 1 3
27.61 deg, I = 24, hkl 0 2 0
28.26 deg, I = 100, hkl 6 0 0
28.57 deg, I = 57, hkl 0 0 4
30.09 deg, I = 53, hkl 2 2 1
34.37 deg, I = 24, hkl 4 2 1
39.94 deg, I = 59, hkl 6 2 0
40.15 deg, I = 62, hkl 0 2 4
40.64 deg, I = 93, hkl 6 0 4
53.68 deg, I = 27, hkl 5 3 3
59.14 deg, I = 21, hkl 0 0 8

Cell and atoms:
a b c (Å): 18.931 6.462 12.496
angles (deg): 90.00 90.00 90.00
Space group Cmce (No. 64)
Asymmetric unit:
Sr (0.000, 0.178, 0.148) [8 per cell]
Sr (0.176, 0.180, 0.868) [16 per cell]
Ge (0.086, 0.000, 0.500) [8 per cell]
P (0.000, 0.213, 0.393) [8 per cell]
P (0.160, 0.201, 0.619) [16 per cell]

Calculated X-ray powder pattern
Compound: SrTc2Ge2P
Radiation: a wavelength of 1.5418 Å
Structure: DFT lattice parameters and positions (GGA-PBE)
Intensities are scaled so that the largest is 100.

Main lines, in order of rising 2θ (10° ≤ 2θ ≤ 90°):
15.25 deg, I = 35, hkl 0 0 1
32.18 deg, I = 100, hkl 1 1 1
36.87 deg, I = 64, hkl 1 0 2
40.25 deg, I = 78, hkl 2 0 0
42.20 deg, I = 32, hkl 1 1 2
55.62 deg, I = 12, hkl 1 1 3
55.72 deg, I = 37, hkl 2 1 2
58.23 deg, I = 26, hkl 2 2 0
68.10 deg, I = 22, hkl 3 1 1
74.50 deg, I = 11, hkl 3 1 2
78.47 deg, I = 20, hkl 2 0 4
84.82 deg, I = 18, hkl 3 2 2

Cell and atoms:
a b c (Å): 4.481 4.481 5.810
angles (deg): 90.00 90.00 90.00
Space group P4/mmm (No. 123)
Asymmetric unit:
Sr (0.000, 0.000, 0.000) [1 per cell]
Tc (0.000, 0.500, 0.500) [2 per cell]
Ge (0.500, 0.500, 0.232) [2 per cell]
P (0.000, 0.000, 0.500) [1 per cell]

Calculated X-ray powder pattern
Compound: Tb8Ge5P
Radiation: a wavelength of 1.5418 Å
Structure: DFT lattice parameters and positions (GGA-PBE)
Intensities are scaled so that the largest is 100.

Main lines, in order of rising 2θ (10° ≤ 2θ ≤ 90°):
24.70 deg, I = 24, hkl 1 2 1
28.60 deg, I = 29, hkl 2 2 0
31.98 deg, I = 48, hkl 1 0 3
32.10 deg, I = 100, hkl 1 3 0
38.14 deg, I = 90, hkl 1 2 3
48.36 deg, I = 13, hkl 2 3 3
50.70 deg, I = 19, hkl 4 2 2
52.80 deg, I = 18, hkl 3 1 4
52.93 deg, I = 37, hkl 1 4 3
65.21 deg, I = 21, hkl 1 6 1
68.89 deg, I = 15, hkl 5 1 4
79.95 deg, I = 12, hkl 7 2 1

Cell and atoms:
a b c (Å): 8.815 8.815 8.853
angles (deg): 90.00 90.00 90.00
Space group I-4 (No. 82)
Asymmetric unit:
Tb (0.065, 0.189, 0.192) [8 per cell]
Tb (0.067, 0.317, 0.559) [8 per cell]
Ge (0.000, 0.000, 0.500) [2 per cell]
Ge (0.125, 0.250, 0.875) [8 per cell]
P (0.000, 0.500, 0.250) [2 per cell]

Calculated X-ray powder pattern
Compound: Tb8Ge3Te4P
Radiation: a wavelength of 1.5418 Å
Structure: DFT lattice parameters and positions (GGA-PBE)
Intensities are scaled so that the largest is 100.

Main lines, in order of rising 2θ (10° ≤ 2θ ≤ 90°):
25.72 deg, I = 9, hkl 2 0 2
29.59 deg, I = 100, hkl 0 2 4
32.22 deg, I = 8, hkl 2 0 5
41.93 deg, I = 34, hkl 2 0 8
42.75 deg, I = 38, hkl 2 2 0
52.85 deg, I = 20, hkl 4 0 4
58.51 deg, I = 7, hkl 2 2 9
61.43 deg, I = 11, hkl 0 4 8
69.05 deg, I = 12, hkl 2 2 12
70.24 deg, I = 17, hkl 2 4 4
77.73 deg, I = 11, hkl 4 2 8
78.29 deg, I = 9, hkl 6 0 0

Cell and atoms:
a b c (Å): 8.4601 8.4601 21.3158
angles (deg): 90.00 90.00 120.00
Space group R-3m (No. 166, hexagonal axes)
Asymmetric unit:
Tb (0.0000, 0.0000, 0.2407) [6 per cell]
Tb (0.0013, 0.5007, 0.2393) [18 per cell]
Ge (0.0000, 0.5000, 0.5000) [9 per cell]
Te (0.0000, 0.0000, 0.0000) [3 per cell]
Te (0.0000, 0.5000, 0.0000) [9 per cell]
P (0.0000, 0.0000, 0.5000) [3 per cell]

Calculated X-ray powder pattern
Compound: Ge4Te2P
Radiation: a wavelength of 1.5418 Å
Structure: DFT lattice parameters and positions (GGA-PBE)
Intensities are scaled so that the largest is 100.

Main lines, in order of rising 2θ (10° ≤ 2θ ≤ 90°):
11.32 deg, I = 16, hkl 0 0 2
26.09 deg, I = 40, hkl 1 1 0
28.52 deg, I = 35, hkl 1 1 2
34.17 deg, I = 20, hkl 1 0 5
34.43 deg, I = 20, hkl 0 0 6
34.89 deg, I = 100, hkl 1 1 4
37.23 deg, I = 66, hkl 2 0 0
51.61 deg, I = 25, hkl 2 0 6
53.67 deg, I = 23, hkl 2 2 0
61.00 deg, I = 13, hkl 2 0 8
65.65 deg, I = 41, hkl 3 1 4
89.75 deg, I = 15, hkl 3 3 4

Cell and atoms:
a b c (Å): 4.830 4.830 15.629
angles (deg): 90.00 90.00 90.00
Space group I4/mmm (No. 139)
Asymmetric unit:
Ge (0.000, 0.000, 0.159) [4 per cell]
Ge (0.000, 0.500, 0.000) [4 per cell]
Te (0.000, 0.000, 0.367) [4 per cell]
P (0.000, 0.000, 0.000) [2 per cell]

Calculated X-ray powder pattern
Compound: Th5GeP4
Radiation: a wavelength of 1.5418 Å
Structure: DFT lattice parameters and positions (GGA-PBE)
Intensities are scaled so that the largest is 100.

Main lines, in order of rising 2θ (10° ≤ 2θ ≤ 90°):
26.14 deg, I = 92, hkl 1 1 0
30.27 deg, I = 100, hkl 0 2 0
43.34 deg, I = 76, hkl 2 0 0
51.31 deg, I = 47, hkl 1 3 0
53.77 deg, I = 27, hkl 2 2 0
62.91 deg, I = 8, hkl 2 0 10
69.37 deg, I = 19, hkl 3 1 0
71.40 deg, I = 23, hkl 3 0 5
71.52 deg, I = 12, hkl 1 4 5
79.48 deg, I = 17, hkl 3 2 5
79.58 deg, I = 9, hkl 2 4 0
85.40 deg, I = 8, hkl 3 3 0

Cell and atoms:
a b c (Å): 4.178 5.897 20.898
angles (deg): 90.00 90.00 90.00
Space group Immm (No. 71)
Asymmetric unit:
Th (0.000, 0.000, 0.000) [2 per cell]
Th (0.000, 0.000, 0.199) [4 per cell]
Th (0.000, 0.000, 0.397) [4 per cell]
Ge (0.000, 0.500, 0.000) [2 per cell]
P (0.000, 0.500, 0.202) [4 per cell]
P (0.000, 0.500, 0.400) [4 per cell]